(1)
For Ti3Te4, a PBE-relaxed structure gives the calculated PXRD pattern in this record (Cu Kα X-rays).
Lines closer than 0.1° are merged.

Peak list (10 most intense, 15 to 90 degrees two-theta, sorted by position)
(hkl), d (Å), 2θ/deg, I_rel
4 0 0, 3.149, 28.3, 16.3
0 0 2, 3.094, 28.9, 22.2
4 0 -2, 3.078, 29.0, 30.9
1 1 1, 2.964, 30.2, 100.0
2 0 2, 2.360, 38.1, 12.3
3 1 1, 2.300, 39.2, 14.7
5 1 -1, 2.294, 39.3, 21.3
3 1 -3, 2.007, 45.2, 31.2
0 2 0, 1.907, 47.7, 15.2
4 2 -2, 1.622, 56.8, 15.7

Atomic structure:
```
data_Ti3Te4
_symmetry_space_group_name_H-M 'C 1 2/m 1'
_symmetry_Int_Tables_number 12
_cell_length_a 14.413
_cell_length_b 3.814
_cell_length_c 7.081
_cell_angle_alpha 90.00
_cell_angle_beta 119.09
_cell_angle_gamma 90.00
loop_
_symmetry_equiv_pos_as_xyz
'x,y,z'
'-x,-y,-z'
'-x,y,-z'
'x,-y,z'
'x+1/2,y+1/2,z'
'-x+1/2,-y+1/2,-z'
'-x+1/2,y+1/2,-z'
'x+1/2,-y+1/2,z'
loop_
_atom_site_label
_atom_site_type_symbol
_atom_site_fract_x
_atom_site_fract_y
_atom_site_fract_z
_atom_site_occupancy
Ti1 Ti 0.000 0.000 0.000 1
Ti2 Ti 0.247 0.000 0.295 1
Te1 Te 0.107 0.000 0.448 1
Te2 Te 0.135 0.500 0.959 1
```



(2)
For Tl5Te3, a PBE-relaxed structure gives the calculated PXRD pattern in this record (Cu Kα X-rays).
Lines closer than 0.1° are merged.

Peak list (10 most intense, 15 to 90 degrees two-theta, sorted by position)
(hkl), d (Å), 2θ/deg, I_rel
1 2 1, 3.954, 22.5, 17.4
1 2 3, 3.034, 29.4, 100.0
1 1 4, 2.979, 30.0, 20.0
3 1 0, 2.927, 30.5, 85.2
2 0 4, 2.711, 33.0, 19.6
1 2 5, 2.247, 40.1, 15.0
2 4 0, 2.069, 43.7, 29.5
5 0 3, 1.710, 53.6, 29.2
3 1 8, 1.452, 64.1, 16.5
5 5 0, 1.309, 72.2, 11.6

Atomic structure:
```
data_Tl5Te3
_symmetry_space_group_name_H-M 'I -4'
_symmetry_Int_Tables_number 82
_cell_length_a 9.255
_cell_length_b 9.255
_cell_length_c 13.382
_cell_angle_alpha 90.00
_cell_angle_beta 90.00
_cell_angle_gamma 90.00
loop_
_symmetry_equiv_pos_as_xyz
'x,y,z'
'y,-x,-z'
'-x,-y,z'
'-y,x,-z'
'x+1/2,y+1/2,z+1/2'
'y+1/2,-x+1/2,-z+1/2'
'-x+1/2,-y+1/2,z+1/2'
'-y+1/2,x+1/2,-z+1/2'
loop_
_atom_site_label
_atom_site_type_symbol
_atom_site_fract_x
_atom_site_fract_y
_atom_site_fract_z
_atom_site_occupancy
Tl1 Tl 0.000 0.000 0.242 1
Tl2 Tl 0.114 0.688 0.365 1
Tl3 Tl 0.122 0.692 0.638 1
Te1 Te 0.000 0.000 0.000 1
Te2 Te 0.000 0.000 0.500 1
Te3 Te 0.105 0.686 0.994 1
```



(3)
For Tl2Te3, a PBE-relaxed structure gives the calculated PXRD pattern in this record (Cu Kα X-rays).
Lines closer than 0.1° are merged.

Peak list (10 most intense, 15 to 90 degrees two-theta, sorted by position)
(hkl), d (Å), 2θ/deg, I_rel
0 0 2, 3.941, 22.6, 25.2
1 1 2, 3.109, 28.7, 31.8
3 1 1, 3.035, 29.4, 64.5
4 0 -2, 2.904, 30.8, 53.0
2 2 -1, 2.889, 31.0, 100.0
1 1 -3, 2.519, 35.6, 30.1
5 1 0, 2.405, 37.4, 23.5
1 3 2, 1.877, 48.5, 19.8
7 1 -1, 1.836, 49.7, 17.2
5 3 0, 1.682, 54.5, 19.7

Atomic structure:
```
data_Tl2Te3
_symmetry_space_group_name_H-M 'C 1 2/c 1'
_symmetry_Int_Tables_number 15
_cell_length_a 13.377
_cell_length_b 6.660
_cell_length_c 8.180
_cell_angle_alpha 90.00
_cell_angle_beta 105.51
_cell_angle_gamma 90.00
loop_
_symmetry_equiv_pos_as_xyz
'x,y,z'
'-x,-y,-z'
'-x,y,-z+1/2'
'x,-y,z+1/2'
'x+1/2,y+1/2,z'
'-x+1/2,-y+1/2,-z'
'-x+1/2,y+1/2,-z+1/2'
'x+1/2,-y+1/2,z+1/2'
loop_
_atom_site_label
_atom_site_type_symbol
_atom_site_fract_x
_atom_site_fract_y
_atom_site_fract_z
_atom_site_occupancy
Tl1 Tl 0.108 0.156 0.449 1
Te1 Te 0.000 0.364 0.750 1
Te2 Te 0.178 0.355 0.073 1
```



(4)
For Tl2Te3, a PBE-relaxed structure gives the calculated PXRD pattern in this record (Cu Kα X-rays).
Lines closer than 0.1° are merged.

Peak list (10 most intense, 15 to 90 degrees two-theta, sorted by position)
(hkl), d (Å), 2θ/deg, I_rel
1 1 1, 4.301, 20.7, 29.9
1 1 -2, 4.120, 21.6, 28.8
3 1 -2, 3.351, 26.6, 34.9
1 1 2, 3.105, 28.8, 90.7
2 2 -1, 3.008, 29.7, 87.7
4 0 -2, 2.993, 29.9, 100.0
3 1 -3, 2.889, 31.0, 24.2
2 2 -2, 2.810, 31.8, 32.2
4 0 0, 2.583, 34.7, 27.3
3 1 -4, 2.386, 37.7, 42.4

Atomic structure:
```
data_Tl2Te3
_symmetry_space_group_name_H-M 'C 1 c 1'
_symmetry_Int_Tables_number 9
_cell_length_a 12.022
_cell_length_b 6.956
_cell_length_c 10.274
_cell_angle_alpha 90.00
_cell_angle_beta 120.74
_cell_angle_gamma 90.00
loop_
_symmetry_equiv_pos_as_xyz
'x,y,z'
'x,-y,z+1/2'
'x+1/2,y+1/2,z'
'x+1/2,-y+1/2,z+1/2'
loop_
_atom_site_label
_atom_site_type_symbol
_atom_site_fract_x
_atom_site_fract_y
_atom_site_fract_z
_atom_site_occupancy
Tl1 Tl 0.000 0.065 0.000 1
Tl2 Tl 0.424 0.111 0.773 1
Te1 Te 0.179 0.478 0.713 1
Te2 Te 0.218 0.124 0.373 1
Te3 Te 0.249 0.280 0.990 1
```



(5)
For Tl5Te3, a PBE-relaxed structure gives the calculated PXRD pattern in this record (Cu Kα X-rays).
Lines closer than 0.1° are merged.

Peak list (10 most intense, 15 to 90 degrees two-theta, sorted by position)
(hkl), d (Å), 2θ/deg, I_rel
2 2 0, 3.208, 27.8, 9.1
2 1 3, 2.969, 30.1, 100.0
1 1 4, 2.911, 30.7, 15.2
3 1 0, 2.870, 31.2, 59.7
2 0 4, 2.651, 33.8, 9.0
0 0 6, 2.178, 41.4, 15.1
4 2 0, 2.029, 44.7, 9.7
4 1 3, 1.964, 46.2, 14.0
3 1 6, 1.735, 52.8, 13.2
5 2 3, 1.571, 58.8, 29.0

Atomic structure:
```
data_Tl5Te3
_symmetry_space_group_name_H-M 'I 4/m c m'
_symmetry_Int_Tables_number 140
_symmetry_space_group_name_Hall '-I 4 2c'
_cell_length_a 9.074
_cell_length_b 9.074
_cell_length_c 13.068
_cell_angle_alpha 90.00
_cell_angle_beta 90.00
_cell_angle_gamma 90.00
loop_
_atom_site_label
_atom_site_type_symbol
_atom_site_fract_x
_atom_site_fract_y
_atom_site_fract_z
_atom_site_occupancy
Tl1 Tl 0.000 0.000 0.000 1
Tl2 Tl 0.149 0.351 0.156 1
Te1 Te 0.000 0.000 0.250 1
Te2 Te 0.157 0.343 0.500 1
```



(6)
For TmTlTe2, a PBE-relaxed structure gives the calculated PXRD pattern in this record (Cu Kα X-rays).
Lines closer than 0.1° are merged.

Peak list (10 most intense, 15 to 90 degrees two-theta, sorted by position)
(hkl), d (Å), 2θ/deg, I_rel
1 0 4, 3.250, 27.4, 100.0
0 1 8, 2.400, 37.5, 38.0
1 1 0, 2.208, 40.9, 36.3
0 0 12, 2.055, 44.1, 6.3
0 2 4, 1.826, 49.9, 19.5
2 0 8, 1.625, 56.6, 11.6
1 1 12, 1.504, 61.7, 14.0
2 1 4, 1.407, 66.4, 16.5
1 2 8, 1.309, 72.2, 11.2
3 0 0, 1.275, 74.4, 6.2

Atomic structure:
```
data_TmTlTe2
_symmetry_space_group_name_H-M 'R -3 m'
_symmetry_Int_Tables_number 166
_symmetry_space_group_name_Hall '-R 3 2"'
_cell_length_a 4.4161
_cell_length_b 4.4161
_cell_length_c 24.6640
_cell_angle_alpha 90.00
_cell_angle_beta 90.00
_cell_angle_gamma 120.00
loop_
_atom_site_label
_atom_site_type_symbol
_atom_site_fract_x
_atom_site_fract_y
_atom_site_fract_z
_atom_site_occupancy
Tm1 Tm 0.0000 0.0000 0.0000 1
Tl1 Tl 0.0000 0.0000 0.5000 1
Te1 Te 0.0000 0.0000 0.2638 1
```



(7)
For TmTe, a PBE-relaxed structure gives the calculated PXRD pattern in this record (Cu Kα X-rays).
Lines closer than 0.1° are merged.

Peak list (10 most intense, 15 to 90 degrees two-theta, sorted by position)
(hkl), d (Å), 2θ/deg, I_rel
1 0 0, 3.700, 24.1, 26.8
1 0 1, 3.294, 27.1, 41.9
1 0 2, 2.587, 34.7, 100.0
1 1 0, 2.136, 42.3, 46.5
1 0 3, 2.021, 44.9, 10.5
0 0 4, 1.809, 50.4, 9.3
2 0 2, 1.647, 55.8, 25.7
1 1 4, 1.381, 67.9, 22.8
2 1 2, 1.304, 72.5, 23.6
1 0 6, 1.147, 84.5, 8.0

Atomic structure:
```
data_TmTe
_symmetry_space_group_name_H-M 'P 63/m m c'
_symmetry_Int_Tables_number 194
_symmetry_space_group_name_Hall '-P 6c 2c'
_cell_length_a 4.2723
_cell_length_b 4.2723
_cell_length_c 7.2365
_cell_angle_alpha 90.00
_cell_angle_beta 90.00
_cell_angle_gamma 120.00
loop_
_atom_site_label
_atom_site_type_symbol
_atom_site_fract_x
_atom_site_fract_y
_atom_site_fract_z
_atom_site_occupancy
Tm1 Tm 0.0000 0.0000 0.0000 1
Te1 Te 0.3333 0.6667 0.2500 1
```